(1)
Starting from a crystal structure in Alexandria, relaxed with GGA-PBE, the X-ray diffraction stick pattern of Np2Tl3O7 was simulated for a wavelength of 1.5418 Å.
Lines closer than 0.1° are merged.

Crystal structure
```
Np2Tl3O7
1.0
-2.1636 2.1636 11.4507
2.1636 -2.1636 11.4507
2.1636 2.1636 -11.4507
Np Tl O
2 3 7
Direct
0.0940 0.0940 0.0000 Np
0.9060 0.9060 0.0000 Np
0.3091 0.3091 0.0000 Tl
0.5000 0.5000 0.0000 Tl
0.6909 0.6909 0.0000 Tl
0.0000 0.0000 0.0000 O
0.0939 0.5939 0.5000 O
0.1791 0.1791 0.0000 O
0.4061 0.9061 0.5000 O
0.5939 0.0939 0.5000 O
0.8209 0.8209 0.0000 O
0.9061 0.4061 0.5000 O
```

Largest 10 diffraction maxima, low angle first, 10° ≤ 2θ ≤ 80°:
28.37°, rel. 100
29.19°, rel. 52
39.34°, rel. 12
41.75°, rel. 25
49.73°, rel. 20
51.25°, rel. 41
58.71°, rel. 15
60.52°, rel. 8
68.16°, rel. 9
68.58°, rel. 10

---

(2)
Starting from a crystal structure in Alexandria, relaxed with GGA-PBE, the X-ray diffraction stick pattern of Np4Tl3O12 was simulated for a wavelength of 1.5418 Å.
Lines closer than 0.1° are merged.

Crystal structure
```
Np4Tl3O12
1.0
-4.2829 4.2829 4.2829
4.2829 -4.2829 4.2829
4.2829 4.2829 -4.2829
Np Tl O
4 3 12
Direct
0.0000 0.0000 0.5000 Np
0.0000 0.5000 0.0000 Np
0.5000 0.0000 0.0000 Np
0.5000 0.5000 0.5000 Np
0.0000 0.5000 0.5000 Tl
0.5000 0.0000 0.5000 Tl
0.5000 0.5000 0.0000 Tl
0.0000 0.2519 0.7481 O
0.0000 0.7481 0.2519 O
0.2519 0.0000 0.7481 O
0.2519 0.2519 0.5038 O
0.2519 0.5038 0.2519 O
0.2519 0.7481 0.0000 O
0.4962 0.7481 0.7481 O
0.5038 0.2519 0.2519 O
0.7481 0.0000 0.2519 O
0.7481 0.2519 0.0000 O
0.7481 0.4962 0.7481 O
0.7481 0.7481 0.4962 O
```

Largest 10 diffraction maxima, low angle first, 10° ≤ 2θ ≤ 80°:
14.62°, rel. 10
20.74°, rel. 9
25.47°, rel. 5
29.49°, rel. 100
42.20°, rel. 27
47.47°, rel. 4
52.32°, rel. 43
61.21°, rel. 18
69.39°, rel. 19
77.15°, rel. 6

---

(3)
Starting from a crystal structure in Alexandria, relaxed with GGA-PBE, the X-ray diffraction stick pattern of Tm2NpTlO8 was simulated for a wavelength of 1.5418 Å.
Lines closer than 0.1° are merged.

Crystal structure
```
Tm2NpTlO8
1.0
3.4309 -3.6084 0.0000
3.4309 3.6084 0.0000
0.0000 0.0000 7.0937
Tm Np Tl O
2 1 1 8
Direct
0.0000 0.0000 0.2477 Tm
0.0000 0.0000 0.7523 Tm
0.5000 0.5000 0.5000 Np
0.5000 0.5000 0.0000 Tl
0.1975 0.1975 0.0000 O
0.2040 0.2040 0.5000 O
0.3086 0.6914 0.2903 O
0.3086 0.6914 0.7097 O
0.6914 0.3086 0.2903 O
0.6914 0.3086 0.7097 O
0.7960 0.7960 0.5000 O
0.8025 0.8025 0.0000 O
```

Largest 10 diffraction maxima, low angle first, 10° ≤ 2θ ≤ 80°:
24.67°, rel. 52
25.97°, rel. 45
30.97°, rel. 100
36.13°, rel. 28
47.56°, rel. 37
49.04°, rel. 34
57.94°, rel. 11
58.60°, rel. 9
61.78°, rel. 20
64.55°, rel. 12

---

(4)
Starting from a crystal structure in Alexandria, relaxed with GGA-PBE, the X-ray diffraction stick pattern of NpUTl2O6 was simulated for a wavelength of 1.5418 Å.
Lines closer than 0.1° are merged.

Crystal structure
```
NpUTl2O6
1.0
0.0000 4.3437 4.3437
4.3437 0.0000 4.3437
4.3437 4.3437 0.0000
Np U Tl O
1 1 2 6
Direct
0.0000 0.0000 0.0000 Np
0.5000 0.5000 0.5000 U
0.2500 0.2500 0.2500 Tl
0.7500 0.7500 0.7500 Tl
0.2520 0.2520 0.7480 O
0.2520 0.7480 0.2520 O
0.2520 0.7480 0.7480 O
0.7480 0.2520 0.2520 O
0.7480 0.2520 0.7480 O
0.7480 0.7480 0.2520 O
```

Largest 8 diffraction maxima, low angle first, 10° ≤ 2θ ≤ 80°:
20.45°, rel. 2
29.07°, rel. 100
41.58°, rel. 26
46.76°, rel. 1
51.54°, rel. 43
60.26°, rel. 17
68.28°, rel. 19
75.88°, rel. 6

---

(5)
Starting from a crystal structure in Alexandria, relaxed with GGA-PBE, the X-ray diffraction stick pattern of YNpTlO6 was simulated for a wavelength of 1.5418 Å.
Lines closer than 0.1° are merged.

Crystal structure
```
YNpTlO6
1.0
5.6096 0.0000 0.0000
-2.8048 4.8580 0.0000
0.0000 0.0000 9.9203
Y Np Tl O
2 2 2 12
Direct
0.0000 0.0000 0.0000 Y
0.0000 0.0000 0.5000 Y
0.3333 0.6667 0.2500 Np
0.6667 0.3333 0.7500 Np
0.3333 0.6667 0.7500 Tl
0.6667 0.3333 0.2500 Tl
0.0294 0.3544 0.1315 O
0.0294 0.6749 0.3685 O
0.3251 0.3544 0.3685 O
0.3251 0.9706 0.1315 O
0.3544 0.0294 0.6315 O
0.3544 0.3251 0.8685 O
0.6456 0.6749 0.1315 O
0.6456 0.9706 0.3685 O
0.6749 0.0294 0.8685 O
0.6749 0.6456 0.6315 O
0.9706 0.3251 0.6315 O
0.9706 0.6456 0.8685 O
```

Largest 10 diffraction maxima, low angle first, 10° ≤ 2θ ≤ 80°:
17.88°, rel. 49
18.26°, rel. 18
25.67°, rel. 100
31.91°, rel. 68
36.81°, rel. 50
41.39°, rel. 28
49.03°, rel. 59
53.19°, rel. 27
56.86°, rel. 21
78.32°, rel. 15

---

(6)
Starting from a crystal structure in Alexandria, relaxed with GGA-PBE, the X-ray diffraction stick pattern of TmNp2O11 was simulated for a wavelength of 1.5418 Å.
Lines closer than 0.1° are merged.

Crystal structure
```
TmNp2O11
1.0
8.1115 0.0000 0.0000
0.5225 8.1011 0.0000
2.9088 2.6114 7.3477
Tm Np O
2 4 22
Direct
0.0000 0.0000 0.0000 Tm
0.3538 0.6426 0.5019 Tm
0.3325 0.1544 0.4745 Np
0.4946 0.0237 0.0179 Np
0.8467 0.6703 0.5159 Np
0.9604 0.5056 0.9806 Np
0.0935 0.7011 0.4596 O
0.0996 0.2315 0.3478 O
0.1760 0.1306 0.7129 O
0.1863 0.5257 0.7962 O
0.2512 0.9779 0.0562 O
0.3098 0.9075 0.5369 O
0.3680 0.3983 0.4326 O
0.4545 0.1718 0.2302 O
0.4815 0.8113 0.2109 O
0.4973 0.2339 0.8468 O
0.6031 0.6263 0.5600 O
0.6030 0.9659 0.6836 O
0.6149 0.0835 0.5187 O
0.7317 0.4988 0.1240 O
0.7436 0.0482 0.9591 O
0.7470 0.8700 0.6846 O
0.8387 0.5182 0.7461 O
0.8641 0.8414 0.2903 O
0.9404 0.4713 0.3312 O
0.9570 0.2562 0.0426 O
0.9804 0.3183 0.4433 O
0.9919 0.7502 0.9457 O
```

Largest 10 diffraction maxima, low angle first, 10° ≤ 2θ ≤ 80°:
16.96°, rel. 40
22.34°, rel. 100
23.31°, rel. 25
23.45°, rel. 27
24.23°, rel. 61
29.77°, rel. 21
31.33°, rel. 21
34.32°, rel. 24
34.43°, rel. 24
45.03°, rel. 20

---

(7)
Starting from a crystal structure in Alexandria, relaxed with GGA-PBE, the X-ray diffraction stick pattern of TmNp2O8 was simulated for a wavelength of 1.5418 Å.
Lines closer than 0.1° are merged.

Crystal structure
```
TmNp2O8
1.0
4.9420 -3.5144 0.0000
4.9420 3.5144 0.0000
-0.6288 0.0000 4.6559
Tm Np O
1 2 8
Direct
0.0000 0.0000 0.0000 Tm
0.3635 0.3635 0.7274 Np
0.6365 0.6365 0.2726 Np
0.1017 0.6438 0.7507 O
0.1703 0.1703 0.7460 O
0.3562 0.8983 0.2493 O
0.4294 0.4294 0.2306 O
0.5706 0.5706 0.7694 O
0.6438 0.1017 0.7507 O
0.8297 0.8297 0.2540 O
0.8983 0.3562 0.2493 O
```

Largest 10 diffraction maxima, low angle first, 10° ≤ 2θ ≤ 80°:
15.52°, rel. 20
24.55°, rel. 74
25.34°, rel. 65
25.61°, rel. 100
30.18°, rel. 54
35.58°, rel. 36
40.70°, rel. 31
44.82°, rel. 25
47.78°, rel. 18
49.74°, rel. 19

---

(8)
Starting from a crystal structure in Alexandria, relaxed with GGA-PBE, the X-ray diffraction stick pattern of TmNp4O10 was simulated for a wavelength of 1.5418 Å.
Lines closer than 0.1° are merged.

Crystal structure
```
TmNp4O10
1.0
-1.8948 1.8948 13.3842
1.8948 -1.8948 13.3842
1.8948 1.8948 -13.3842
Tm Np O
1 4 10
Direct
0.0000 0.0000 0.0000 Tm
0.1993 0.1993 0.0000 Np
0.4028 0.4028 0.0000 Np
0.5972 0.5972 0.0000 Np
0.8007 0.8007 0.0000 Np
0.0510 0.5510 0.5000 O
0.1496 0.6496 0.5000 O
0.2500 0.7500 0.5000 O
0.3504 0.8504 0.5000 O
0.4490 0.9490 0.5000 O
0.5510 0.0510 0.5000 O
0.6496 0.1496 0.5000 O
0.7500 0.2500 0.5000 O
0.8504 0.3504 0.5000 O
0.9490 0.4490 0.5000 O
```

Largest 10 diffraction maxima, low angle first, 10° ≤ 2θ ≤ 80°:
23.71°, rel. 1
25.54°, rel. 1
28.86°, rel. 100
33.45°, rel. 37
48.03°, rel. 49
50.44°, rel. 1
57.01°, rel. 46
59.80°, rel. 10
70.28°, rel. 8
77.69°, rel. 19

---

(9)
Starting from a crystal structure in Alexandria, relaxed with GGA-PBE, the X-ray diffraction stick pattern of TmNp2O7 was simulated for a wavelength of 1.5418 Å.
Lines closer than 0.1° are merged.

Crystal structure
```
TmNp2O7
1.0
1.8997 1.0968 10.1024
-1.8997 1.0968 10.1024
0.0000 -2.1936 10.1024
Tm Np O
1 2 7
Direct
0.0000 0.0000 0.0000 Tm
0.4319 0.4319 0.4319 Np
0.5681 0.5681 0.5681 Np
0.0762 0.0762 0.0762 O
0.2201 0.2201 0.2201 O
0.3611 0.3611 0.3611 O
0.5000 0.5000 0.5000 O
0.6389 0.6389 0.6389 O
0.7799 0.7799 0.7799 O
0.9238 0.9238 0.9238 O
```

Largest 10 diffraction maxima, low angle first, 10° ≤ 2θ ≤ 80°:
17.56°, rel. 24
26.47°, rel. 46
27.26°, rel. 30
27.74°, rel. 100
30.92°, rel. 59
34.23°, rel. 69
47.88°, rel. 59
50.46°, rel. 45
55.54°, rel. 37
56.01°, rel. 25